[1]
The following is a simulated X-ray powder pattern of K9Nb2As6. It was derived from DFT lattice parameters and positions (PBE), using Cu Kα.

Peak list (12 most intense, 2θ = 5–70°, low angle first)
9.40 deg, I 53.4; 11.74 deg, I 100.0; 14.57 deg, I 33.4; 15.90 deg, I 38.1; 28.36 deg, I 62.3; 29.56 deg, I 33.2; 30.09 deg, I 68.3; 30.34 deg, I 45.8; 30.81 deg, I 32.0; 33.85 deg, I 68.8; 35.69 deg, I 40.5; 55.38 deg, I 30.7

Cell and atoms:
```
data_K9Nb2As6
_cell_length_a 9.468
_cell_length_b 9.342
_cell_length_c 12.843
_cell_angle_alpha 90.00
_cell_angle_beta 96.31
_cell_angle_gamma 90.00
_symmetry_space_group_name_H-M 'P 1 c 1'
_symmetry_Int_Tables_number 7
loop_
_symmetry_equiv_pos_as_xyz
'x,y,z'
'x,-y,z+1/2'
loop_
_atom_site_label
_atom_site_fract_x
_atom_site_fract_y
_atom_site_fract_z
K1 0.000 0.032 0.000
K2 0.214 0.444 0.191
K3 0.225 0.334 0.464
K4 0.403 0.161 0.134
K5 0.442 0.059 0.407
K6 0.620 0.430 0.583
K7 0.750 0.079 0.714
K8 0.832 0.304 0.206
K9 0.888 0.424 0.896
Nb1 0.161 0.175 0.746
Nb2 0.475 0.329 0.855
As1 0.101 0.086 0.268
As2 0.229 0.306 0.922
As3 0.407 0.194 0.680
As4 0.540 0.415 0.323
As5 0.662 0.202 0.976
As6 0.972 0.312 0.634
```

---

[2]
The following is a simulated X-ray powder pattern of Y5Ge10Rh4. It was derived from DFT lattice parameters and positions (PBE), using Cu Kα.

Peak list (12 most intense, 2θ = 5–70°, low angle first)
32.19 deg, I 40.1; 34.36 deg, I 59.4; 34.91 deg, I 36.9; 35.06 deg, I 37.6; 35.74 deg, I 100.0; 37.08 deg, I 26.7; 41.87 deg, I 89.7; 43.69 deg, I 21.7; 44.26 deg, I 23.1; 48.75 deg, I 24.4; 55.60 deg, I 18.8; 67.51 deg, I 19.7

Cell and atoms:
```
data_Y5Ge10Rh4
_cell_length_a 13.105
_cell_length_b 13.105
_cell_length_c 4.318
_cell_angle_alpha 90.00
_cell_angle_beta 90.00
_cell_angle_gamma 90.00
_symmetry_space_group_name_H-M 'P 4/m b m'
_symmetry_Int_Tables_number 127
_symmetry_space_group_name_Hall '-P 4 2ab'
loop_
_atom_site_label
_atom_site_fract_x
_atom_site_fract_y
_atom_site_fract_z
Y1 0.000 0.000 0.000
Y2 0.113 0.387 0.500
Y3 0.176 0.676 0.500
Ge1 0.003 0.841 0.500
Ge2 0.066 0.566 0.000
Ge3 0.161 0.200 0.000
Rh1 0.022 0.754 0.000
```

---

[3]
The following is a simulated X-ray powder pattern of Cs3LiBr4. It was derived from DFT lattice parameters and positions (PBE), using Cu Kα.

Peak list (12 most intense, 2θ = 5–70°, low angle first)
21.28 deg, I 24.3; 22.39 deg, I 55.5; 22.93 deg, I 31.4; 25.96 deg, I 79.7; 26.21 deg, I 33.5; 27.35 deg, I 83.6; 29.14 deg, I 100.0; 29.49 deg, I 35.7; 30.52 deg, I 26.7; 31.40 deg, I 26.4; 37.98 deg, I 24.1; 39.26 deg, I 23.1

Cell and atoms:
```
data_Cs3LiBr4
_cell_length_a 11.714
_cell_length_b 14.169
_cell_length_c 8.350
_cell_angle_alpha 90.00
_cell_angle_beta 90.00
_cell_angle_gamma 90.00
_symmetry_space_group_name_H-M 'C 2 2 21'
_symmetry_Int_Tables_number 20
loop_
_symmetry_equiv_pos_as_xyz
'x,y,z'
'-x,-y,z+1/2'
'x,-y,-z'
'-x,y,-z+1/2'
'x+1/2,y+1/2,z'
'-x+1/2,-y+1/2,z+1/2'
'x+1/2,-y+1/2,-z'
'-x+1/2,y+1/2,-z+1/2'
loop_
_atom_site_label
_atom_site_fract_x
_atom_site_fract_y
_atom_site_fract_z
Cs1 0.000 0.214 0.250
Cs2 0.227 0.074 0.768
Li1 0.000 0.395 0.750
Br1 0.010 0.000 0.500
Br2 0.048 0.500 0.000
Br3 0.183 0.316 0.647
```

---

[4]
The following is a simulated X-ray powder pattern of SrEuPt2. It was derived from DFT lattice parameters and positions (PBE), using Cu Kα.

Peak list (9 most intense, 2θ = 5–70°, low angle first)
21.10 deg, I 2.4; 24.41 deg, I 6.2; 34.79 deg, I 100.0; 41.05 deg, I 1.4; 42.96 deg, I 2.0; 50.03 deg, I 18.0; 54.87 deg, I 0.6; 56.43 deg, I 2.8; 62.38 deg, I 37.3

Cell and atoms:
```
data_SrEuPt2
_cell_length_a 7.293
_cell_length_b 7.293
_cell_length_c 7.293
_cell_angle_alpha 90.00
_cell_angle_beta 90.00
_cell_angle_gamma 90.00
_symmetry_space_group_name_H-M 'F m -3 m'
_symmetry_Int_Tables_number 225
_symmetry_space_group_name_Hall '-F 4 2 3'
loop_
_atom_site_label
_atom_site_fract_x
_atom_site_fract_y
_atom_site_fract_z
Sr1 0.000 0.000 0.000
Eu1 0.000 0.000 0.500
Pt1 0.250 0.250 0.250
```